# Sr11Al4Sn3
Computed PXRD pattern, Cu Kα (λ = 1.5418 Å). Input: a DFT-relaxed cell (GGA-PBE, Alexandria).
Peak positions follow from Bragg's law for the DFT cell and can differ from measured ones.

Peak list (10 most intense, 2θ from 5° to 70°, low angle first)
2θ (°), I (rel.)
26.61, 100
29.02, 61
30.38, 68
30.82, 82
34.17, 17
39.78, 23
44.15, 26
51.44, 35
54.54, 17
60.92, 20

Structure:
a b c (Å): 12.3073 12.3073 12.3073
angles (deg): 60.00 60.00 60.00
Fractional positions:
1 Sr 0.0000 0.0000 0.0000
2 Sr 0.0000 0.0000 0.3341
3 Sr 0.0000 0.0000 0.6659
4 Sr 0.0000 0.3341 0.0000
5 Sr 0.0000 0.3341 0.6659
6 Sr 0.0000 0.6659 0.0000
7 Sr 0.0000 0.6659 0.3341
8 Sr 0.1124 0.6292 0.6292
9 Sr 0.3341 0.0000 0.0000
10 Sr 0.3341 0.0000 0.6659
11 Sr 0.3341 0.6659 0.0000
12 Sr 0.3708 0.3708 0.3708
13 Sr 0.3708 0.3708 0.8876
14 Sr 0.3708 0.8876 0.3708
15 Sr 0.5000 0.5000 0.5000
16 Sr 0.6292 0.1124 0.6292
17 Sr 0.6292 0.6292 0.1124
18 Sr 0.6292 0.6292 0.6292
19 Sr 0.6659 0.0000 0.0000
20 Sr 0.6659 0.0000 0.3341
21 Sr 0.6659 0.3341 0.0000
22 Sr 0.8876 0.3708 0.3708
23 Al 0.1945 0.1945 0.1945
24 Al 0.1945 0.1945 0.4164
25 Al 0.1945 0.4164 0.1945
26 Al 0.4164 0.1945 0.1945
27 Al 0.5836 0.8055 0.8055
28 Al 0.8055 0.5836 0.8055
29 Al 0.8055 0.8055 0.5836
30 Al 0.8055 0.8055 0.8055
31 Sn 0.2826 0.2826 0.7174
32 Sn 0.2826 0.7174 0.2826
33 Sn 0.2826 0.7174 0.7174
34 Sn 0.7174 0.2826 0.2826
35 Sn 0.7174 0.2826 0.7174
36 Sn 0.7174 0.7174 0.2826